Structure and computed powder diffractogram of FeCu2SnS4 (DFT lattice parameters and positions (GGA-PBE); a wavelength of 1.5418 Å).
No peak broadening, texture or thermal motion is included.

Main lines, by intensity (2θ from 10° to 90°):
- d = 3.138 Å, 2θ = 28.4°, rel. 1000
- d = 1.916 Å, 2θ = 47.5°, rel. 388
- d = 1.646 Å, 2θ = 55.9°, rel. 280
- d = 1.933 Å, 2θ = 47.0°, rel. 199
- d = 1.625 Å, 2θ = 56.6°, rel. 134
- d = 1.113 Å, 2θ = 87.7°, rel. 125
- d = 1.244 Å, 2θ = 76.6°, rel. 106
- d = 2.734 Å, 2θ = 32.8°, rel. 102

Structure:
```
FeCu2SnS4
1.0
5.468 0.000 0.000
0.000 5.468 0.000
0.000 0.000 5.372
Fe Cu Sn S
1 2 1 4
Direct
0.000 0.000 0.000
0.000 0.500 0.500
0.500 0.000 0.500
0.500 0.500 0.000
0.235 0.235 0.264
0.235 0.765 0.736
0.765 0.235 0.736
0.765 0.765 0.264
```

---

Structure and computed powder diffractogram of UAgHgI6 (DFT lattice parameters and positions (GGA-PBE); a wavelength of 1.5418 Å).
No peak broadening, texture or thermal motion is included.

Main lines, by intensity (2θ from 10° to 90°):
- d = 2.913 Å, 2θ = 30.7°, rel. 1000
- d = 5.313 Å, 2θ = 16.7°, rel. 723
- d = 3.468 Å, 2θ = 25.7°, rel. 662
- d = 2.158 Å, 2θ = 41.9°, rel. 405
- d = 1.974 Å, 2θ = 46.0°, rel. 271
- d = 1.734 Å, 2θ = 52.8°, rel. 211
- d = 2.386 Å, 2θ = 37.7°, rel. 197
- d = 2.366 Å, 2θ = 38.0°, rel. 183

Structure:
```
UAgHgI6
1.0
7.474 0.000 0.000
-3.737 6.473 0.000
0.000 0.000 18.604
U Ag Hg I
2 2 2 12
Direct
0.333 0.667 0.250
0.667 0.333 0.750
0.333 0.667 0.750
0.667 0.333 0.250
0.000 0.000 0.000
0.000 0.000 0.500
0.013 0.351 0.156
0.013 0.662 0.344
0.338 0.351 0.344
0.338 0.987 0.156
0.351 0.013 0.656
0.351 0.338 0.844
0.649 0.662 0.156
0.649 0.987 0.344
0.662 0.013 0.844
0.662 0.649 0.656
0.987 0.338 0.656
0.987 0.649 0.844
```

---

Structure and computed powder diffractogram of Li2Cd5In2Hg2 (DFT lattice parameters and positions (GGA-PBE); a wavelength of 1.5418 Å).
No peak broadening, texture or thermal motion is included.

Main lines, by intensity (2θ from 10° to 90°):
- d = 4.175 Å, 2θ = 21.3°, rel. 1000
- d = 2.267 Å, 2θ = 39.8°, rel. 763
- d = 2.649 Å, 2θ = 33.8°, rel. 519
- d = 3.219 Å, 2θ = 27.7°, rel. 471
- d = 2.102 Å, 2θ = 43.0°, rel. 460
- d = 8.754 Å, 2θ = 10.1°, rel. 441
- d = 2.815 Å, 2θ = 31.8°, rel. 387
- d = 1.609 Å, 2θ = 57.2°, rel. 318

Structure:
```
Li2Cd5In2Hg2
1.0
-2.102 2.102 17.508
2.102 -2.102 17.508
2.102 2.102 -17.508
Li Cd In Hg
2 5 2 2
Direct
0.202 0.202 0.000
0.798 0.798 0.000
0.144 0.644 0.500
0.356 0.856 0.500
0.500 0.500 0.000
0.644 0.144 0.500
0.856 0.356 0.500
0.283 0.283 0.000
0.717 0.717 0.000
0.420 0.420 0.000
0.580 0.580 0.000
```